Calculated PXRD pattern of DyHo2Os for Cu Kα X-rays, from a DFT-relaxed cell (GGA-PBE, Alexandria).

Main lines, by intensity (2θ = 10–90°):
hkl 1 1 2, 2θ = 32.43°, I 100
hkl 1 3 1, 2θ = 35.24°, I 86
hkl 2 2 1, 2θ = 34.46°, I 80
hkl 0 3 1, 2θ = 33.01°, I 71
hkl 2 2 0, 2θ = 31.31°, I 64
hkl 2 3 0, 2θ = 38.62°, I 53
hkl 3 0 1, 2θ = 39.28°, I 49
hkl 1 2 3, 2θ = 49.40°, I 48
hkl 2 1 1, 2θ = 29.73°, I 44
hkl 0 2 2, 2θ = 34.72°, I 42

Cell and atoms:
```
data_DyHo2Os
_symmetry_space_group_name_H-M 'P n m a'
_symmetry_Int_Tables_number 62
_symmetry_space_group_name_Hall '-P 2ac 2n'
_cell_length_a 7.387
_cell_length_b 9.017
_cell_length_c 6.306
_cell_angle_alpha 90.00
_cell_angle_beta 90.00
_cell_angle_gamma 90.00
loop_
_atom_site_label
_atom_site_type_symbol
_atom_site_fract_x
_atom_site_fract_y
_atom_site_fract_z
Dy1 Dy 0.039 0.250 0.128
Ho1 Ho 0.175 0.063 0.667
Os1 Os 0.117 0.750 0.460
```